# Ca3Co2O7
Simulated powder diffraction line list, Cu Kα, 1.54184 Å. Input: a cell relaxed with PBE+U.
Intensities are scaled so that the largest is 100.

```
data_Ca3Co2O7
_chemical_formula_sum 'Ca12 Co8 O28'
_symmetry_space_group_name_H-M 'C m c 21'
_symmetry_Int_Tables_number 36
_cell_length_a 18.9763
_cell_length_b 5.4172
_cell_length_c 5.4456
_cell_angle_alpha 90.00
_cell_angle_beta 90.00
_cell_angle_gamma 90.00
loop_
_symmetry_equiv_pos_as_xyz
'x,y,z'
'-x,-y,z+1/2'
'-x,y,z'
'x,-y,z+1/2'
'x+1/2,y+1/2,z'
'-x+1/2,-y+1/2,z+1/2'
'-x+1/2,y+1/2,z'
'x+1/2,-y+1/2,z+1/2'
loop_
_atom_site_label
_atom_site_fract_x
_atom_site_fract_y
_atom_site_fract_z
Ca1 0.0000 0.2437 0.0000
Ca2 0.1830 0.2399 0.0792
Co1 0.0990 0.2503 0.5439
O1 0.0000 0.3143 0.5528
O2 0.0834 0.0348 0.2551
O3 0.1102 0.4639 0.8290
O4 0.1965 0.1948 0.5278
```

Peak list (10 most intense, 2θ = 15–90°, in order of rising 2θ)
2theta  Rel. int.
18.7  26
23.6  18
32.9  38
33.1  38
33.2  100
47.3  51
47.9  20
58.9  16
59.1  24
69.7  18